Entry 1:
Simulated powder diffractogram of LaSm3S3O4 for Cu Kα (weighted mean of Kα1 and Kα2), from a cell relaxed with PBE.

Crystal structure
a = 8.2509 Å, b = 3.9207 Å, c = 12.5999 Å
α = 90.00°, β = 90.00°, γ = 90.00°
Space group Amm2 (No. 38)
Unique sites:
La 0.0000 0.0000 0.0000
Sm 0.2362 0.0000 0.6955
Sm 0.5000 0.0000 0.0228
S 0.0000 0.0000 0.3147
S 0.3682 0.0000 0.3605
O 0.0000 0.0000 0.5972
O 0.2469 0.0000 0.0961
O 0.5000 0.0000 0.6245

Peak list (10 most intense, 5 to 70 degrees two-theta, sorted by position)
2θ/deg  intensity  (hkl)
14.1  31  0 0 2
23.8  21  0 1 1
25.8  92  2 0 2
31.2  100  0 1 3
32.3  74  2 1 1
35.9  29  2 0 4
46.3  28  0 2 0
48.3  43  2 1 5
53.8  25  2 2 2
54.8  25  4 1 3

Entry 2:
Simulated powder diffractogram of Dy4I3Br2N for Cu Kα (weighted mean of Kα1 and Kα2), from a cell relaxed with PBE.

Crystal structure
a = 18.3108 Å, b = 3.8463 Å, c = 8.4227 Å
α = 90.00°, β = 101.68°, γ = 90.00°
Space group C2/m (No. 12)
Unique sites:
Dy 0.0013 0.0000 0.3109
Dy 0.1299 0.5000 0.5635
I 0.0000 0.5000 0.0000
I 0.1717 0.0000 0.3129
Br 0.1564 0.0000 0.8209
N 0.0000 0.5000 0.5000

Peak list (10 most intense, 5 to 70 degrees two-theta, sorted by position)
2θ/deg  intensity  (hkl)
9.9  34  2 0 0
10.7  55  0 0 1
29.9  40  6 0 0
31.5  100  1 1 -2
34.2  21  5 1 0
34.3  22  5 1 -1
39.8  20  6 0 -3
43.5  22  5 1 2
44.4  22  7 1 -2
47.3  23  0 2 0